Record 1
# TeAuO3
Simulated powder X-ray diffraction pattern, copper Kα. Input: a crystal structure in OQMD, relaxed with PBE.
No peak broadening, texture or thermal motion is included.

Structural model:
```
data_TeAuO3
_chemical_formula_sum 'Te4 Au4 O12'
_space_group_name_H-M_alt 'P n m a'
_space_group_IT_number 62
_space_group_name_Hall '-P 2ac 2n'
_cell_length_a 5.7728
_cell_length_b 8.0964
_cell_length_c 5.6907
_cell_angle_alpha 90.00
_cell_angle_beta 90.00
_cell_angle_gamma 90.00
loop_
_atom_site_label
_atom_site_type_symbol
_atom_site_fract_x
_atom_site_fract_y
_atom_site_fract_z
Te1 Te 0.0000 0.0000 0.0000
Au1 Au 0.0208 0.2500 0.4811
O1 O 0.0172 0.2500 0.0871
O2 O 0.1941 0.0493 0.6964
```

Top 8 peaks for 10 to 90 degrees two-theta, low angle first:
hkl  2θ (°)  I (rel.)
2 0 0  31.0  26
1 2 1  31.2  100
0 0 2  31.4  24
0 4 0  44.7  36
3 2 1  55.3  20
1 2 3  55.8  21
2 4 2  65.1  14
1 6 1  74.0  16

***

Record 2
# TmTeAuO
Simulated powder X-ray diffraction pattern, copper Kα. Input: a crystal structure in OQMD, relaxed with PBE.
No peak broadening, texture or thermal motion is included.

Structural model:
```
data_TmTeAuO
_chemical_formula_sum 'Tm4 Te4 Au4 O4'
_space_group_name_H-M_alt 'A e m 2'
_space_group_IT_number 39
_space_group_name_Hall 'A 2 -2b'
_cell_length_a 10.3272
_cell_length_b 5.6432
_cell_length_c 5.6489
_cell_angle_alpha 90.00
_cell_angle_beta 90.00
_cell_angle_gamma 90.00
loop_
_atom_site_label
_atom_site_type_symbol
_atom_site_fract_x
_atom_site_fract_y
_atom_site_fract_z
Tm1 Tm 0.1005 0.2500 0.0000
Te1 Te 0.2753 0.2500 0.5009
Au1 Au 0.5000 0.0000 0.0009
O1 O 0.0000 0.0000 0.2500
```

Top 8 peaks for 10 to 90 degrees two-theta, low angle first:
hkl  2θ (°)  I (rel.)
2 1 1  28.3  91
0 0 2  31.7  98
1 2 0  32.9  76
3 1 1  34.4  100
2 2 0  36.3  55
1 2 2  46.3  66
5 0 2  55.1  41
3 3 1  58.2  44

***

Record 3
# TmTeAuO
Simulated powder X-ray diffraction pattern, copper Kα. Input: a crystal structure in OQMD, relaxed with PBE.
No peak broadening, texture or thermal motion is included.

Structural model:
```
data_TmTeAuO
_chemical_formula_sum 'Tm4 Te4 Au4 O4'
_space_group_name_H-M_alt 'P c c a'
_space_group_IT_number 54
_space_group_name_Hall '-P 2a 2ac'
_cell_length_a 5.6203
_cell_length_b 10.3082
_cell_length_c 5.6397
_cell_angle_alpha 90.00
_cell_angle_beta 90.00
_cell_angle_gamma 90.00
loop_
_atom_site_label
_atom_site_type_symbol
_atom_site_fract_x
_atom_site_fract_y
_atom_site_fract_z
Tm1 Tm 0.0000 0.1008 0.2500
Te1 Te 0.0000 0.2754 0.7500
Au1 Au 0.2500 0.5000 0.2130
O1 O 0.2500 0.0000 0.0002
```

Top 8 peaks for 10 to 90 degrees two-theta, low angle first:
hkl  2θ (°)  I (rel.)
0 2 0  17.2  40
1 2 1  28.3  92
0 0 2  31.7  88
2 1 0  33.0  68
1 3 1  34.5  100
2 2 0  36.4  53
2 1 2  46.5  58
0 5 2  55.2  37

***

Record 4
# TmTeAuO
Simulated powder X-ray diffraction pattern, copper Kα. Input: a crystal structure in OQMD, relaxed with PBE.
No peak broadening, texture or thermal motion is included.

Structural model:
```
data_TmTeAuO
_chemical_formula_sum 'Tm4 Te4 Au4 O4'
_space_group_name_H-M_alt 'P c c a'
_space_group_IT_number 54
_space_group_name_Hall '-P 2a 2ac'
_cell_length_a 5.6249
_cell_length_b 10.2822
_cell_length_c 5.6427
_cell_angle_alpha 90.00
_cell_angle_beta 90.00
_cell_angle_gamma 90.00
loop_
_atom_site_label
_atom_site_type_symbol
_atom_site_fract_x
_atom_site_fract_y
_atom_site_fract_z
Tm1 Tm 0.0000 0.1011 0.2500
Te1 Te 0.0000 0.2747 0.7500
Au1 Au 0.2500 0.5000 0.2256
O1 O 0.2500 0.0000 0.9999
```

Top 8 peaks for 10 to 90 degrees two-theta, low angle first:
hkl  2θ (°)  I (rel.)
0 2 0  17.2  39
1 2 1  28.3  91
0 0 2  31.7  93
2 1 0  33.0  75
1 3 1  34.5  100
2 2 0  36.4  55
2 1 2  46.4  62
0 5 2  55.3  39

***

Repeat the third record exactly.
# TmTeAuO
Simulated powder X-ray diffraction pattern, copper Kα. Input: a crystal structure in OQMD, relaxed with PBE.
No peak broadening, texture or thermal motion is included.

Structural model:
```
data_TmTeAuO
_chemical_formula_sum 'Tm4 Te4 Au4 O4'
_space_group_name_H-M_alt 'P c c a'
_space_group_IT_number 54
_space_group_name_Hall '-P 2a 2ac'
_cell_length_a 5.6203
_cell_length_b 10.3082
_cell_length_c 5.6397
_cell_angle_alpha 90.00
_cell_angle_beta 90.00
_cell_angle_gamma 90.00
loop_
_atom_site_label
_atom_site_type_symbol
_atom_site_fract_x
_atom_site_fract_y
_atom_site_fract_z
Tm1 Tm 0.0000 0.1008 0.2500
Te1 Te 0.0000 0.2754 0.7500
Au1 Au 0.2500 0.5000 0.2130
O1 O 0.2500 0.0000 0.0002
```

Top 8 peaks for 10 to 90 degrees two-theta, low angle first:
hkl  2θ (°)  I (rel.)
0 2 0  17.2  40
1 2 1  28.3  92
0 0 2  31.7  88
2 1 0  33.0  68
1 3 1  34.5  100
2 2 0  36.4  53
2 1 2  46.5  58
0 5 2  55.2  37